[1]
The following is a computed XRD peak list of Ag4Au2Br9. It was derived from a GGA-PBE-relaxed structure, using a wavelength of 1.5418 Å.
Lines closer than 0.1° are merged.

Crystal structure
Unit cell a=7.071 b=7.141 c=19.640 alpha=92.33 beta=91.86 gamma=110.83
Element x y z (fractional)
Ag (0.008, 0.340, 0.188)
Ag (0.169, 0.830, 0.000)
Ag (0.235, 0.624, 0.508)
Ag (0.335, 0.011, 0.188)
Ag (0.665, 0.989, 0.812)
Ag (0.765, 0.376, 0.492)
Ag (0.831, 0.170, 0.000)
Ag (0.992, 0.660, 0.812)
Au (0.113, 0.100, 0.612)
Au (0.397, 0.393, 0.850)
Au (0.603, 0.607, 0.150)
Au (0.887, 0.900, 0.388)
Br (0.043, 0.050, 0.279)
Br (0.095, 0.677, 0.385)
Br (0.138, 0.458, 0.928)
Br (0.156, 0.159, 0.092)
Br (0.286, 0.265, 0.507)
Br (0.330, 0.888, 0.613)
Br (0.341, 0.641, 0.766)
Br (0.354, 0.666, 0.234)
Br (0.460, 0.135, 0.928)
Br (0.540, 0.865, 0.072)
Br (0.646, 0.334, 0.766)
Br (0.659, 0.359, 0.234)
Br (0.670, 0.112, 0.387)
Br (0.714, 0.735, 0.493)
Br (0.844, 0.841, 0.908)
Br (0.862, 0.542, 0.072)
Br (0.905, 0.323, 0.615)
Br (0.957, 0.950, 0.721)

Largest 10 diffraction maxima, by angle, 2θ = 10–80°:
d [Å]  2theta  intensity
6.533  13.55  23.9
4.536  19.57  100.0
3.810  23.35  39.9
3.642  24.44  69.4
3.459  25.76  21.9
2.905  30.77  28.4
2.579  34.79  32.7
2.372  37.94  21.6
2.116  42.74  31.4
1.950  46.58  24.5

***

[2]
The following is a computed XRD peak list of CaMg2I6. It was derived from a GGA-PBE-relaxed structure, using a wavelength of 1.5418 Å.
Lines closer than 0.1° are merged.

Crystal structure
Unit cell a=7.765 b=7.765 c=12.405 alpha=95.34 beta=95.34 gamma=33.87
Element x y z (fractional)
Ca (0.000, 0.000, 0.000)
Mg (0.287, 0.287, 0.266)
Mg (0.713, 0.713, 0.734)
I (0.103, 0.103, 0.231)
I (0.152, 0.152, 0.619)
I (0.367, 0.367, 0.068)
I (0.633, 0.633, 0.932)
I (0.848, 0.848, 0.381)
I (0.897, 0.897, 0.769)

Largest 10 diffraction maxima, by angle, 2θ = 10–80°:
d [Å]  2theta  intensity
4.047  21.96  42.3
3.754  23.70  75.4
3.697  24.07  52.0
3.496  25.48  100.0
3.454  25.79  60.6
3.273  27.25  81.2
3.018  29.60  42.8
2.262  39.85  29.6
2.236  40.35  54.9
2.171  41.59  47.2

***

[3]
The following is a computed XRD peak list of Hf2ZnGe2. It was derived from a GGA-PBE-relaxed structure, using a wavelength of 1.5418 Å.
Lines closer than 0.1° are merged.

Crystal structure
Unit cell a=6.874 b=6.874 c=3.820 alpha=90.00 beta=90.00 gamma=90.00
Element x y z (fractional)
Hf (0.165, 0.335, 0.000)
Hf (0.335, 0.835, 0.000)
Hf (0.665, 0.165, 0.000)
Hf (0.835, 0.665, 0.000)
Zn (0.000, 0.000, 0.500)
Zn (0.500, 0.500, 0.500)
Ge (0.139, 0.639, 0.500)
Ge (0.361, 0.139, 0.500)
Ge (0.639, 0.861, 0.500)
Ge (0.861, 0.361, 0.500)

Largest 10 diffraction maxima, by angle, 2θ = 10–80°:
d [Å]  2theta  intensity
3.074  29.05  15.6
2.555  35.12  19.1
2.395  37.56  100.0
2.174  41.55  29.4
1.910  47.61  15.3
1.621  56.79  13.2
1.528  60.60  14.9
1.492  62.24  7.7
1.435  65.00  15.4
1.211  79.11  13.8

***

[4]
The following is a computed XRD peak list of Ti13Al9Co8. It was derived from a GGA-PBE-relaxed structure, using a wavelength of 1.5418 Å.
Lines closer than 0.1° are merged.

Crystal structure
Unit cell a=8.477 b=8.477 c=8.477 alpha=59.82 beta=59.82 gamma=59.82
Element x y z (fractional)
Ti (0.000, 0.000, 0.000)
Ti (0.001, 0.001, 0.480)
Ti (0.001, 0.480, 0.001)
Ti (0.095, 0.462, 0.462)
Ti (0.414, 0.826, 0.826)
Ti (0.422, 0.422, 0.802)
Ti (0.422, 0.802, 0.422)
Ti (0.462, 0.095, 0.462)
Ti (0.462, 0.462, 0.095)
Ti (0.480, 0.001, 0.001)
Ti (0.802, 0.422, 0.422)
Ti (0.826, 0.414, 0.826)
Ti (0.826, 0.826, 0.414)
Al (0.136, 0.782, 0.782)
Al (0.239, 0.239, 0.239)
Al (0.239, 0.239, 0.765)
Al (0.239, 0.765, 0.239)
Al (0.448, 0.448, 0.448)
Al (0.765, 0.239, 0.239)
Al (0.779, 0.779, 0.779)
Al (0.782, 0.136, 0.782)
Al (0.782, 0.782, 0.136)
Co (0.117, 0.623, 0.623)
Co (0.120, 0.120, 0.622)
Co (0.120, 0.622, 0.120)
Co (0.121, 0.121, 0.121)
Co (0.622, 0.120, 0.120)
Co (0.623, 0.117, 0.623)
Co (0.623, 0.623, 0.117)
Co (0.624, 0.624, 0.624)

Largest 10 diffraction maxima, by angle, 2θ = 10–80°:
d [Å]  2theta  intensity
3.456  25.78  34.8
2.993  29.85  14.9
2.308  39.02  12.7
2.303  39.12  55.5
2.119  42.66  100.0
2.114  42.78  91.7
1.995  45.46  12.6
1.804  50.60  28.5
1.497  62.01  18.0
1.221  78.30  19.4